1.
Pr3Zn2Cu2Si4: simulated X-ray powder pattern (Cu Kα (weighted mean of Kα1 and Kα2)), based on a structure optimized by DFT (PBE).
Neutral-atom scattering factors, no anomalous dispersion.

Most intense lines, 10° ≤ 2θ ≤ 90°, in order of falling intensity:
| 2θ (°) | intensity |
| --- | --- |
| 33.68 | 100 |
| 33.44 | 42 |
| 23.96 | 27 |
| 43.19 | 22 |
| 43.36 | 21 |
| 39.62 | 21 |
| 55.84 | 17 |
| 62.86 | 14 |
| 46.33 | 13 |
| 69.30 | 12 |

Atomic structure:
a = 12.560 Å, b = 12.560 Å, c = 12.560 Å
α = 160.87°, β = 160.80°, γ = 27.23°
Fractional coordinates of all 11 atoms:
1 Pr 0.000 0.000 0.000
2 Pr 0.151 0.651 0.500
3 Pr 0.849 0.349 0.500
4 Zn 0.402 0.902 0.500
5 Zn 0.598 0.098 0.500
6 Cu 0.250 0.250 0.000
7 Cu 0.750 0.750 0.000
8 Si 0.302 0.802 0.500
9 Si 0.451 0.451 0.000
10 Si 0.549 0.549 0.000
11 Si 0.698 0.198 0.500



2.
Zr2W4Au3N3: simulated X-ray powder pattern (Cu Kα (weighted mean of Kα1 and Kα2)), based on a structure optimized by DFT (PBE).
Neutral-atom scattering factors, no anomalous dispersion.

Most intense lines, 10° ≤ 2θ ≤ 90°, in order of falling intensity:
| 2θ (°) | intensity |
| --- | --- |
| 38.27 | 100 |
| 38.46 | 94 |
| 38.17 | 94 |
| 41.20 | 59 |
| 32.23 | 42 |
| 73.03 | 38 |
| 18.49 | 31 |
| 57.18 | 30 |
| 53.10 | 25 |
| 32.00 | 23 |

Atomic structure:
a = 5.555 Å, b = 5.555 Å, c = 13.513 Å
α = 101.51°, β = 101.51°, γ = 60.46°
Fractional coordinates of all 24 atoms:
1 Zr 0.034 0.866 0.610
2 Zr 0.134 0.966 0.890
3 Zr 0.866 0.034 0.110
4 Zr 0.966 0.134 0.390
5 W 0.194 0.364 0.074
6 W 0.317 0.465 0.426
7 W 0.364 0.194 0.574
8 W 0.465 0.317 0.926
9 W 0.535 0.683 0.074
10 W 0.636 0.806 0.426
11 W 0.683 0.535 0.574
12 W 0.806 0.636 0.926
13 Au 0.080 0.331 0.747
14 Au 0.331 0.080 0.247
15 Au 0.495 0.505 0.750
16 Au 0.505 0.495 0.250
17 Au 0.669 0.920 0.753
18 Au 0.920 0.669 0.253
19 N 0.000 0.500 0.500
20 N 0.153 0.695 0.000
21 N 0.305 0.847 0.500
22 N 0.500 0.000 0.000
23 N 0.695 0.153 0.500
24 N 0.847 0.305 0.000



3.
LiZnSnIr: simulated X-ray powder pattern (Cu Kα (weighted mean of Kα1 and Kα2)), based on a structure optimized by DFT (PBE).
Neutral-atom scattering factors, no anomalous dispersion.

Most intense lines, 10° ≤ 2θ ≤ 90°, in order of falling intensity:
| 2θ (°) | intensity |
| --- | --- |
| 40.50 | 100 |
| 24.48 | 59 |
| 73.67 | 35 |
| 47.89 | 30 |
| 58.62 | 17 |
| 64.48 | 13 |
| 87.62 | 12 |
| 78.94 | 5 |
| 79.01 | 5 |

Atomic structure:
a = 4.452 Å, b = 4.452 Å, c = 6.305 Å
α = 90.00°, β = 90.00°, γ = 90.00°
Fractional coordinates of all 8 atoms:
1 Li 0.000 0.500 0.248
2 Li 0.500 0.000 0.752
3 Zn 0.000 0.000 0.500
4 Zn 0.500 0.500 0.000
5 Sn 0.000 0.000 0.000
6 Sn 0.500 0.500 0.500
7 Ir 0.000 0.500 0.750
8 Ir 0.500 0.000 0.250



4.
Cu4Ag3: simulated X-ray powder pattern (Cu Kα (weighted mean of Kα1 and Kα2)), based on a structure optimized by DFT (PBE).
Neutral-atom scattering factors, no anomalous dispersion.

Most intense lines, 10° ≤ 2θ ≤ 90°, in order of falling intensity:
| 2θ (°) | intensity |
| --- | --- |
| 40.44 | 100 |
| 47.01 | 16 |
| 47.26 | 16 |
| 46.85 | 16 |
| 83.19 | 11 |
| 82.82 | 11 |
| 68.86 | 9 |
| 68.74 | 9 |
| 68.54 | 9 |
| 82.62 | 5 |

Atomic structure:
a = 4.732 Å, b = 4.732 Å, c = 6.133 Å
α = 97.50°, β = 97.50°, γ = 47.97°
Fractional coordinates of all 7 atoms:
1 Cu 0.000 0.000 0.000
2 Cu 0.137 0.137 0.449
3 Cu 0.278 0.278 0.858
4 Cu 0.567 0.567 0.726
5 Ag 0.430 0.430 0.294
6 Ag 0.710 0.710 0.135
7 Ag 0.850 0.850 0.594



5.
Y3Mg3Ag2Hg: simulated X-ray powder pattern (Cu Kα (weighted mean of Kα1 and Kα2)), based on a structure optimized by DFT (PBE).
Neutral-atom scattering factors, no anomalous dispersion.

Most intense lines, 10° ≤ 2θ ≤ 90°, in order of falling intensity:
| 2θ (°) | intensity |
| --- | --- |
| 34.37 | 100 |
| 23.02 | 51 |
| 41.77 | 45 |
| 25.17 | 42 |
| 40.44 | 38 |
| 31.57 | 31 |
| 64.70 | 27 |
| 60.82 | 22 |
| 26.64 | 20 |
| 43.42 | 20 |

Atomic structure:
a = 7.727 Å, b = 7.727 Å, c = 4.168 Å
α = 90.00°, β = 90.00°, γ = 120.00°
Fractional coordinates of all 9 atoms:
1 Y 0.000 0.412 0.000
2 Y 0.412 0.000 0.000
3 Y 0.588 0.588 0.000
4 Mg 0.000 0.749 0.500
5 Mg 0.251 0.251 0.500
6 Mg 0.749 0.000 0.500
7 Ag 0.333 0.667 0.500
8 Ag 0.667 0.333 0.500
9 Hg 0.000 0.000 0.000



6.
HoAuSO: simulated X-ray powder pattern (Cu Kα (weighted mean of Kα1 and Kα2)), based on a structure optimized by DFT (PBE).
Neutral-atom scattering factors, no anomalous dispersion.

Most intense lines, 10° ≤ 2θ ≤ 90°, in order of falling intensity:
| 2θ (°) | intensity |
| --- | --- |
| 33.65 | 100 |
| 47.15 | 86 |
| 30.00 | 86 |
| 32.04 | 84 |
| 19.54 | 72 |
| 37.87 | 61 |
| 29.50 | 51 |
| 44.11 | 49 |
| 51.95 | 39 |
| 62.35 | 38 |

Atomic structure:
a = 3.945 Å, b = 3.945 Å, c = 9.084 Å
α = 90.00°, β = 90.00°, γ = 90.18°
Fractional coordinates of all 8 atoms:
1 Ho 0.250 0.750 0.880
2 Ho 0.750 0.250 0.120
3 Au 0.000 0.500 0.500
4 Au 0.500 0.000 0.500
5 S 0.250 0.750 0.282
6 S 0.750 0.250 0.718
7 O 0.250 0.250 0.000
8 O 0.750 0.750 0.000



7.
Gd5Er2Tm: simulated X-ray powder pattern (Cu Kα (weighted mean of Kα1 and Kα2)), based on a structure optimized by DFT (PBE).
Neutral-atom scattering factors, no anomalous dispersion.

Most intense lines, 10° ≤ 2θ ≤ 90°, in order of falling intensity:
| 2θ (°) | intensity |
| --- | --- |
| 32.78 | 100 |
| 31.70 | 24 |
| 28.59 | 24 |
| 60.98 | 23 |
| 57.15 | 21 |
| 50.64 | 20 |
| 61.64 | 16 |
| 43.21 | 16 |
| 83.71 | 9 |
| 87.85 | 8 |

Atomic structure:
a = 5.646 Å, b = 7.208 Å, c = 7.208 Å
α = 60.06°, β = 90.00°, γ = 90.00°
Fractional coordinates of all 8 atoms:
1 Gd 0.000 0.000 0.000
2 Gd 0.000 0.000 0.501
3 Gd 0.000 0.501 0.000
4 Gd 0.500 0.333 0.834
5 Gd 0.500 0.834 0.333
6 Er 0.000 0.500 0.500
7 Er 0.500 0.834 0.834
8 Tm 0.500 0.334 0.334



8.
Tb2HoMg3Pt2Au: simulated X-ray powder pattern (Cu Kα (weighted mean of Kα1 and Kα2)), based on a structure optimized by DFT (PBE).
Neutral-atom scattering factors, no anomalous dispersion.

Most intense lines, 10° ≤ 2θ ≤ 90°, in order of falling intensity:
| 2θ (°) | intensity |
| --- | --- |
| 35.55 | 100 |
| 32.64 | 58 |
| 23.83 | 48 |
| 41.91 | 35 |
| 43.25 | 34 |
| 25.99 | 25 |
| 63.03 | 21 |
| 44.83 | 21 |
| 67.26 | 16 |
| 27.58 | 16 |

Atomic structure:
a = 4.044 Å, b = 7.462 Å, c = 7.462 Å
α = 119.86°, β = 90.00°, γ = 90.00°
Fractional coordinates of all 9 atoms:
1 Tb 0.000 0.208 0.792
2 Tb 0.000 0.792 0.208
3 Ho 0.000 0.376 0.376
4 Mg 0.500 0.044 0.044
5 Mg 0.500 0.541 0.791
6 Mg 0.500 0.791 0.541
7 Pt 0.500 0.128 0.458
8 Pt 0.500 0.458 0.128
9 Au 0.000 0.790 0.790



9.
NaSmCuTe3: simulated X-ray powder pattern (Cu Kα (weighted mean of Kα1 and Kα2)), based on a structure optimized by DFT (PBE).
Neutral-atom scattering factors, no anomalous dispersion.

Most intense lines, 10° ≤ 2θ ≤ 90°, in order of falling intensity:
| 2θ (°) | intensity |
| --- | --- |
| 32.10 | 100 |
| 12.13 | 75 |
| 26.18 | 62 |
| 28.02 | 58 |
| 29.09 | 53 |
| 40.73 | 42 |
| 44.51 | 35 |
| 23.30 | 34 |
| 42.95 | 34 |
| 33.39 | 27 |

Atomic structure:
a = 11.542 Å, b = 4.211 Å, c = 14.596 Å
α = 90.00°, β = 90.00°, γ = 90.00°
Fractional coordinates of all 24 atoms:
1 Na 0.220 0.250 0.005
2 Na 0.280 0.750 0.505
3 Na 0.720 0.250 0.495
4 Na 0.780 0.750 0.995
5 Sm 0.018 0.750 0.743
6 Sm 0.482 0.250 0.243
7 Sm 0.518 0.750 0.757
8 Sm 0.982 0.250 0.257
9 Cu 0.235 0.750 0.220
10 Cu 0.265 0.250 0.720
11 Cu 0.735 0.750 0.280
12 Cu 0.765 0.250 0.780
13 Te 0.054 0.750 0.111
14 Te 0.095 0.250 0.600
15 Te 0.235 0.250 0.332
16 Te 0.265 0.750 0.832
17 Te 0.405 0.750 0.100
18 Te 0.446 0.250 0.611
19 Te 0.554 0.750 0.389
20 Te 0.595 0.250 0.900
21 Te 0.735 0.250 0.168
22 Te 0.765 0.750 0.668
23 Te 0.905 0.750 0.400
24 Te 0.946 0.250 0.889



10.
Ac2Ge3Ir: simulated X-ray powder pattern (Cu Kα (weighted mean of Kα1 and Kα2)), based on a structure optimized by DFT (PBE).
Neutral-atom scattering factors, no anomalous dispersion.

Most intense lines, 10° ≤ 2θ ≤ 90°, in order of falling intensity:
| 2θ (°) | intensity |
| --- | --- |
| 30.75 | 100 |
| 41.37 | 26 |
| 58.70 | 19 |
| 52.28 | 16 |
| 39.73 | 15 |
| 41.15 | 13 |
| 66.58 | 11 |
| 58.53 | 10 |
| 23.45 | 9 |
| 52.53 | 7 |

Atomic structure:
a = 8.806 Å, b = 8.730 Å, c = 6.312 Å
α = 69.55°, β = 68.26°, γ = 42.19°
Fractional coordinates of all 12 atoms:
1 Ac 0.244 0.756 0.244
2 Ac 0.250 0.250 0.250
3 Ac 0.750 0.750 0.750
4 Ac 0.756 0.244 0.756
5 Ge 0.163 0.667 0.837
6 Ge 0.330 0.330 0.670
7 Ge 0.333 0.837 0.667
8 Ge 0.667 0.163 0.333
9 Ge 0.670 0.670 0.330
10 Ge 0.837 0.333 0.163
11 Ir 0.165 0.165 0.835
12 Ir 0.835 0.835 0.165



11.
DyHg2O4: simulated X-ray powder pattern (Cu Kα (weighted mean of Kα1 and Kα2)), based on a structure optimized by DFT (PBE).
Neutral-atom scattering factors, no anomalous dispersion.

Most intense lines, 10° ≤ 2θ ≤ 90°, in order of falling intensity:
| 2θ (°) | intensity |
| --- | --- |
| 30.87 | 100 |
| 53.99 | 41 |
| 49.28 | 38 |
| 32.28 | 34 |
| 76.10 | 23 |
| 26.24 | 20 |
| 64.32 | 16 |
| 37.44 | 14 |
| 88.04 | 13 |
| 63.50 | 13 |

Atomic structure:
a = 6.794 Å, b = 6.794 Å, c = 6.794 Å
α = 60.00°, β = 60.00°, γ = 60.00°
Fractional coordinates of all 14 atoms:
1 Dy 0.125 0.125 0.125
2 Dy 0.875 0.875 0.875
3 Hg 0.000 0.500 0.500
4 Hg 0.500 0.000 0.500
5 Hg 0.500 0.500 0.000
6 Hg 0.500 0.500 0.500
7 O 0.255 0.255 0.255
8 O 0.255 0.255 0.736
9 O 0.255 0.736 0.255
10 O 0.264 0.745 0.745
11 O 0.736 0.255 0.255
12 O 0.745 0.264 0.745
13 O 0.745 0.745 0.264
14 O 0.745 0.745 0.745



12.
Na2CdPtSe4: simulated X-ray powder pattern (Cu Kα (weighted mean of Kα1 and Kα2)), based on a structure optimized by DFT (PBE).
Neutral-atom scattering factors, no anomalous dispersion.

Most intense lines, 10° ≤ 2θ ≤ 90°, in order of falling intensity:
| 2θ (°) | intensity |
| --- | --- |
| 27.58 | 100 |
| 16.35 | 88 |
| 36.19 | 47 |
| 50.06 | 29 |
| 46.03 | 22 |
| 46.16 | 22 |
| 30.33 | 21 |
| 42.92 | 16 |
| 47.89 | 15 |
| 20.84 | 10 |

Atomic structure:
a = 6.542 Å, b = 6.542 Å, c = 7.006 Å
α = 122.33°, β = 122.33°, γ = 81.34°
Fractional coordinates of all 8 atoms:
1 Na 0.000 0.000 0.000
2 Na 0.751 0.249 0.500
3 Cd 0.250 0.750 0.500
4 Pt 0.501 0.499 0.000
5 Se 0.198 0.384 0.037
6 Se 0.347 0.161 0.544
7 Se 0.616 0.802 0.963
8 Se 0.839 0.653 0.456



What did the seventh record say?
Gd5Er2Tm: simulated X-ray powder pattern (Cu Kα (weighted mean of Kα1 and Kα2)), based on a structure optimized by DFT (PBE).
Neutral-atom scattering factors, no anomalous dispersion.

Most intense lines, 10° ≤ 2θ ≤ 90°, in order of falling intensity:
| 2θ (°) | intensity |
| --- | --- |
| 32.78 | 100 |
| 31.70 | 24 |
| 28.59 | 24 |
| 60.98 | 23 |
| 57.15 | 21 |
| 50.64 | 20 |
| 61.64 | 16 |
| 43.21 | 16 |
| 83.71 | 9 |
| 87.85 | 8 |

Atomic structure:
a = 5.646 Å, b = 7.208 Å, c = 7.208 Å
α = 60.06°, β = 90.00°, γ = 90.00°
Fractional coordinates of all 8 atoms:
1 Gd 0.000 0.000 0.000
2 Gd 0.000 0.000 0.501
3 Gd 0.000 0.501 0.000
4 Gd 0.500 0.333 0.834
5 Gd 0.500 0.834 0.333
6 Er 0.000 0.500 0.500
7 Er 0.500 0.834 0.834
8 Tm 0.500 0.334 0.334